Theoretical X-ray powder pattern of Pa2TiRh5 for Cu Kα (λ = 1.5418 Å), from a GGA-PBE-relaxed structure.
No peak broadening, texture or thermal motion is included.

Structure:
Cell lengths 5.7923, 11.4221, 4.2098 Å; angles 90.00, 90.00, 90.00 degrees
Space group Pbam (No. 55)
Unique sites:
Pa (0.1705, 0.1429, 0.0000) (multiplicity 4)
Ti (0.0000, 0.5000, 0.5000) (multiplicity 2)
Rh (0.0000, 0.0000, 0.5000) (multiplicity 2)
Rh (0.0810, 0.7463, 0.5000) (multiplicity 4)
Rh (0.1769, 0.3971, 0.0000) (multiplicity 4)

Peak list (10 most intense, 10 to 90 degrees two-theta, in order of falling intensity)
hkl 0 4 1, 2θ = 38.08°, d = 2.363 Å, rel. 1000; hkl 2 1 1, 2θ = 38.55°, d = 2.336 Å, rel. 718; hkl 2 0 1, 2θ = 37.70°, d = 2.386 Å, rel. 462; hkl 0 0 2, 2θ = 42.97°, d = 2.105 Å, rel. 417; hkl 2 3 0, 2θ = 39.08°, d = 2.305 Å, rel. 258; hkl 2 4 0, 2θ = 44.56°, d = 2.033 Å, rel. 249; hkl 0 0 1, 2θ = 21.10°, d = 4.210 Å, rel. 209; hkl 1 2 0, 2θ = 21.86°, d = 4.067 Å, rel. 187; hkl 2 4 2, 2θ = 63.63°, d = 1.462 Å, rel. 170; hkl 0 4 3, 2θ = 75.49°, d = 1.259 Å, rel. 166